Theoretical X-ray powder pattern
Compound: Nd5TmTl6
Radiation: Cu Kα, 1.54184 Å
Structure: a structure optimized by DFT (PBE)

Principal peaks in the range 2θ from 15° to 90°, sorted by position:
h k l, two_theta, I/Imax
2 0 -1, 32.5, 100.0
1 2 1, 32.6, 98.6
1 2 -2, 32.8, 97.8
2 0 2, 46.4, 18.6
2 0 -4, 46.7, 18.3
0 4 0, 47.3, 17.7
1 2 4, 58.0, 19.1
3 2 0, 58.0, 19.5
3 2 -3, 58.2, 38.1
2 4 -1, 58.5, 37.5

Structure:
```
data_Nd5TmTl6
_chemical_formula_sum 'Nd5 Tm1 Tl6'
_space_group_name_H-M_alt 'P 1 2/m 1'
_space_group_IT_number 10
_cell_length_a 5.5130
_cell_length_b 7.6935
_cell_length_c 8.7040
_cell_angle_alpha 90.00
_cell_angle_beta 108.09
_cell_angle_gamma 90.00
loop_
_space_group_symop_operation_xyz
'x,y,z'
'-x,-y,-z'
'-x,y,-z'
'x,-y,z'
loop_
_atom_site_label
_atom_site_type_symbol
_atom_site_fract_x
_atom_site_fract_y
_atom_site_fract_z
_atom_site_occupancy
Nd1 Nd 0.0000 0.0000 0.0000 1
Nd2 Nd 0.3297 0.0000 0.6594 1
Nd3 Nd 0.3338 0.5000 0.6679 1
Tm1 Tm 0.0000 0.5000 0.0000 1
Tl1 Tl 0.1630 0.2559 0.3256 1
Tl2 Tl 0.5000 0.2540 0.0000 1
```

Theoretical X-ray powder pattern
Compound: KSn4Br8
Radiation: Cu Kα, 1.54184 Å
Structure: a structure optimized by DFT (PBE)

Principal peaks in the range 2θ from 15° to 90°, sorted by position:
h k l, two_theta, I/Imax
0 2 1, 23.0, 17.6
0 2 4, 27.6, 100.0
0 2 7, 35.9, 24.6
2 0 8, 39.2, 32.3
2 2 0, 39.8, 39.8
2 2 3, 41.6, 18.9
4 0 4, 49.1, 20.3
2 0 11, 50.0, 13.8
2 4 4, 65.0, 17.6
4 2 8, 71.8, 11.0

Structure:
```
data_KSn4Br8
_chemical_formula_sum 'K3 Sn12 Br24'
_space_group_name_H-M_alt 'R -3 m'
_space_group_IT_number 166
_space_group_name_Hall '-R 3 2"'
_cell_length_a 9.0679
_cell_length_b 9.0679
_cell_length_c 22.6726
_cell_angle_alpha 90.00
_cell_angle_beta 90.00
_cell_angle_gamma 120.00
loop_
_atom_site_label
_atom_site_type_symbol
_atom_site_fract_x
_atom_site_fract_y
_atom_site_fract_z
_atom_site_occupancy
K1 K 0.0000 0.0000 0.0000 1
Sn1 Sn 0.0000 0.0000 0.5000 1
Sn2 Sn 0.0000 0.5000 0.5000 1
Br1 Br 0.0000 0.0000 0.2354 1
Br2 Br 0.9999 0.5000 0.2373 1
```

Theoretical X-ray powder pattern
Compound: CoRh2
Radiation: Cu Kα, 1.54184 Å
Structure: a structure optimized by DFT (PBE)

Principal peaks in the range 2θ from 15° to 90°, sorted by position:
h k l, two_theta, I/Imax
1 3 0, 28.2, 3.8
1 5 0, 39.2, 5.9
2 0 0, 40.3, 62.0
1 3 1, 44.0, 100.0
2 6 0, 58.4, 18.5
0 0 2, 69.4, 6.4
3 3 1, 75.9, 32.0
2 8 1, 79.8, 3.7
2 0 2, 83.4, 14.1
4 0 0, 87.2, 5.1

Structure:
```
data_CoRh2
_chemical_formula_sum 'Co4 Rh8'
_space_group_name_H-M_alt 'C m m m'
_space_group_IT_number 65
_space_group_name_Hall '-C 2 2'
_cell_length_a 4.4728
_cell_length_b 13.4159
_cell_length_c 2.7084
_cell_angle_alpha 90.00
_cell_angle_beta 90.00
_cell_angle_gamma 90.00
loop_
_atom_site_label
_atom_site_type_symbol
_atom_site_fract_x
_atom_site_fract_y
_atom_site_fract_z
_atom_site_occupancy
Co1 Co 0.0000 0.1564 0.0000 1
Rh1 Rh 0.0000 0.0000 0.5000 1
Rh2 Rh 0.0000 0.3176 0.5000 1
Rh3 Rh 0.0000 0.5000 0.0000 1
```